# ReTc
Calculated PXRD pattern, copper Kα. Input: a DFT-relaxed cell (PBE, the Materials Project).
Kinematic intensities with the Lorentz-polarization factor, no thermal factor.

```
data_ReTc
_chemical_formula_sum 'Re1 Tc1'
_space_group_name_H-M_alt 'P -6 m 2'
_space_group_IT_number 187
_space_group_name_Hall 'P -6 2'
_cell_length_a 2.7693
_cell_length_b 2.7693
_cell_length_c 4.4646
_cell_angle_alpha 90.00
_cell_angle_beta 90.00
_cell_angle_gamma 120.00
loop_
_atom_site_label
_atom_site_type_symbol
_atom_site_fract_x
_atom_site_fract_y
_atom_site_fract_z
Re1 Re 0.0000 0.0000 0.0000
Tc1 Tc 0.6667 0.3333 0.5000
```

Principal peaks in the range 10 to 90 degrees two-theta, by angle:
2θ (°), I (rel.), index
19.89, 12, 0 0 1
37.50, 29, 1 0 0
40.41, 25, 0 0 2
42.80, 100, 1 0 1
56.30, 18, 1 0 2
67.66, 17, 1 1 0
75.13, 19, 1 0 3
80.02, 3, 2 0 0
81.87, 20, 1 1 2
83.47, 15, 2 0 1

---

# Re3Tc
Calculated PXRD pattern, copper Kα. Input: a DFT-relaxed cell (PBE, the Materials Project).
Kinematic intensities with the Lorentz-polarization factor, no thermal factor.

```
data_Re3Tc
_chemical_formula_sum 'Re6 Tc2'
_space_group_name_H-M_alt 'P 63/m m c'
_space_group_IT_number 194
_space_group_name_Hall '-P 6c 2c'
_cell_length_a 5.5501
_cell_length_b 5.5501
_cell_length_c 4.4844
_cell_angle_alpha 90.00
_cell_angle_beta 90.00
_cell_angle_gamma 120.00
loop_
_atom_site_label
_atom_site_type_symbol
_atom_site_fract_x
_atom_site_fract_y
_atom_site_fract_z
Re1 Re 0.1661 0.3321 0.2500
Tc1 Tc 0.3333 0.6667 0.7500
```

Principal peaks in the range 10 to 90 degrees two-theta, by angle:
2θ (°), I (rel.), index
27.20, 5, 1 0 1
37.42, 24, 2 0 0
40.22, 26, 0 0 2
42.68, 100, 2 0 1
56.10, 15, 2 0 2
67.50, 17, 2 2 0
74.80, 19, 2 0 3
81.59, 21, 2 2 2
83.24, 15, 4 0 1
86.89, 3, 0 0 4

---

# TiReTc2
Calculated PXRD pattern, copper Kα. Input: a DFT-relaxed cell (PBE, the Materials Project).
Kinematic intensities with the Lorentz-polarization factor, no thermal factor.

```
data_TiReTc2
_chemical_formula_sum 'Ti4 Re4 Tc8'
_space_group_name_H-M_alt 'F m -3 m'
_space_group_IT_number 225
_space_group_name_Hall '-F 4 2 3'
_cell_length_a 6.203
_cell_length_b 6.203
_cell_length_c 6.203
_cell_angle_alpha 90.00
_cell_angle_beta 90.00
_cell_angle_gamma 90.00
loop_
_atom_site_label
_atom_site_type_symbol
_atom_site_fract_x
_atom_site_fract_y
_atom_site_fract_z
Ti1 Ti 0.000 0.000 0.000
Re1 Re 0.000 0.000 0.500
Tc1 Tc 0.250 0.250 0.250
```

Principal peaks in the range 10 to 90 degrees two-theta, by angle:
2θ (°), I (rel.), index
24.86, 24, 1 1 1
28.78, 1, 2 0 0
41.16, 100, 2 2 0
48.68, 13, 3 1 1
59.62, 16, 4 0 0
65.60, 5, 3 3 1
75.01, 33, 4 2 2
80.45, 4, 5 1 1
89.34, 11, 4 4 0

---

# TmReTc2
Calculated PXRD pattern, copper Kα. Input: a DFT-relaxed cell (PBE, the Materials Project).
Kinematic intensities with the Lorentz-polarization factor, no thermal factor.

```
data_TmReTc2
_chemical_formula_sum 'Tm4 Re4 Tc8'
_space_group_name_H-M_alt 'F m -3 m'
_space_group_IT_number 225
_space_group_name_Hall '-F 4 2 3'
_cell_length_a 6.417
_cell_length_b 6.417
_cell_length_c 6.417
_cell_angle_alpha 90.00
_cell_angle_beta 90.00
_cell_angle_gamma 90.00
loop_
_atom_site_label
_atom_site_type_symbol
_atom_site_fract_x
_atom_site_fract_y
_atom_site_fract_z
Tm1 Tm 0.000 0.000 0.000
Re1 Re 0.000 0.000 0.500
Tc1 Tc 0.250 0.250 0.250
```

Principal peaks in the range 10 to 90 degrees two-theta, by angle:
2θ (°), I (rel.), index
27.81, 9, 2 0 0
39.73, 100, 2 2 0
49.19, 3, 2 2 2
57.44, 17, 4 0 0
65.00, 4, 4 2 0
72.11, 34, 4 2 2
85.62, 11, 4 4 0